Entry 1:
Diffraction record for SbRuS. The powder diffraction line list is simulated, not measured: it uses a structure optimized by DFT (GGA-PBE) and a wavelength of 1.5418 Å.

Main lines, in order of rising 2θ (2θ from 15° to 90°):
2θ (°), Rel. int.
22.4, 70
28.8, 60
30.7, 76
32.3, 42
32.8, 28
33.7, 89
34.1, 90
39.4, 37
45.9, 100
51.4, 47

Atomic structure:
Cell lengths 6.255, 6.187, 6.267 Å; angles 90.00, 111.66, 90.00 degrees
Space group P2_1/c (No. 14)
Inequivalent atoms, fractional coordinates:
Sb 0.149 0.129 0.370 x4
Ru 0.296 0.513 0.303 x4
S 0.353 0.633 0.679 x4

=====

Entry 2:
Diffraction record for RuSeS. The powder diffraction line list is simulated, not measured: it uses a structure optimized by DFT (GGA-PBE) and a wavelength of 1.5418 Å.

Main lines, in order of rising 2θ (2θ from 15° to 90°):
2θ (°), Rel. int.
26.5, 40
30.6, 74
34.4, 65
37.8, 42
43.9, 45
52.0, 100
54.5, 19
59.2, 23
72.4, 15
86.7, 33

Atomic structure:
Cell lengths 5.836, 5.836, 5.836 Å; angles 90.00, 90.00, 90.00 degrees
Space group P2_13 (No. 198)
Inequivalent atoms, fractional coordinates:
Ru 0.008 0.008 0.008 x4
Se 0.119 0.619 0.881 x4
S 0.116 0.884 0.384 x4

=====

Entry 3:
Diffraction record for URuS3. The powder diffraction line list is simulated, not measured: it uses a structure optimized by DFT (GGA-PBE) and a wavelength of 1.5418 Å.

Main lines, in order of rising 2θ (2θ from 15° to 90°):
2θ (°), Rel. int.
18.1, 23
22.2, 69
27.7, 39
28.5, 100
34.5, 34
36.4, 23
36.8, 34
40.5, 26
41.5, 45
42.0, 31

Atomic structure:
Cell lengths 6.931, 8.709, 5.918 Å; angles 90.00, 90.00, 90.00 degrees
Space group Pnma (No. 62)
Inequivalent atoms, fractional coordinates:
U 0.124 0.250 0.071 x4
Ru 0.000 0.000 0.500 x4
S 0.051 0.750 0.339 x4
S 0.182 0.558 0.850 x8

=====

Entry 4:
Diffraction record for Sb2Ru. The powder diffraction line list is simulated, not measured: it uses a structure optimized by DFT (GGA-PBE) and a wavelength of 1.5418 Å.

Main lines, in order of rising 2θ (2θ from 15° to 90°):
2θ (°), Rel. int.
30.4, 100
31.5, 81
32.5, 36
34.2, 93
42.9, 31
43.2, 67
47.2, 38
49.4, 90
63.2, 25
80.1, 25

Atomic structure:
Cell lengths 6.027, 6.743, 3.223 Å; angles 90.00, 90.00, 90.00 degrees
Space group Pnnm (No. 58)
Inequivalent atoms, fractional coordinates:
Sb 0.183 0.142 0.000 x4
Ru 0.000 0.500 0.000 x2

=====

Entry 5:
Diffraction record for SbRu. The powder diffraction line list is simulated, not measured: it uses a structure optimized by DFT (GGA-PBE) and a wavelength of 1.5418 Å.

Main lines, in order of rising 2θ (2θ from 15° to 90°):
2θ (°), Rel. int.
30.8, 51
31.0, 99
39.0, 39
40.6, 46
40.8, 100
47.4, 57
47.8, 19
47.9, 37
64.6, 23
79.2, 21

Atomic structure:
Cell lengths 5.959, 3.799, 6.660 Å; angles 90.00, 90.00, 90.00 degrees
Space group Pnma (No. 62)
Inequivalent atoms, fractional coordinates:
Sb 0.200 0.250 0.080 x4
Ru 0.007 0.250 0.706 x4

=====

Entry 6:
Diffraction record for SbRuSe. The powder diffraction line list is simulated, not measured: it uses a structure optimized by DFT (GGA-PBE) and a wavelength of 1.5418 Å.

Main lines, in order of rising 2θ (2θ from 15° to 90°):
2θ (°), Rel. int.
21.6, 38
30.0, 31
30.2, 38
32.7, 100
33.2, 53
33.4, 56
44.4, 37
44.7, 49
50.0, 52
53.0, 29

Atomic structure:
Cell lengths 6.433, 6.369, 6.473 Å; angles 90.00, 113.03, 90.00 degrees
Space group P2_1/c (No. 14)
Inequivalent atoms, fractional coordinates:
Sb 0.144 0.135 0.377 x4
Ru 0.287 0.505 0.300 x4
Se 0.349 0.635 0.681 x4

=====

Entry 7:
Diffraction record for Sb2TeRu. The powder diffraction line list is simulated, not measured: it uses a structure optimized by DFT (GGA-PBE) and a wavelength of 1.5418 Å.

Main lines, in order of rising 2θ (2θ from 15° to 90°):
2θ (°), Rel. int.
18.8, 17
30.0, 100
30.3, 47
35.6, 22
35.7, 16
35.9, 16
42.9, 20
43.0, 16
43.3, 22
47.3, 26

Atomic structure:
Cell lengths 9.317, 9.429, 9.449 Å; angles 90.00, 90.00, 90.00 degrees
Space group Immm (No. 71)
Inequivalent atoms, fractional coordinates:
Sb 0.155 0.000 0.158 x8
Sb 0.160 0.346 0.000 x8
Te 0.000 0.326 0.340 x8
Ru 0.250 0.250 0.250 x8

=====

Entry 8:
Diffraction record for USbRu. The powder diffraction line list is simulated, not measured: it uses a structure optimized by DFT (GGA-PBE) and a wavelength of 1.5418 Å.

Main lines, in order of rising 2θ (2θ from 15° to 90°):
2θ (°), Rel. int.
33.0, 100
35.9, 87
37.1, 44
42.3, 24
45.5, 23
51.4, 19
56.7, 26
60.1, 22
67.9, 25
71.0, 15

Atomic structure:
Cell lengths 7.4039, 7.4039, 3.9859 Å; angles 90.00, 90.00, 120.00 degrees
Space group P-62m (No. 189)
Inequivalent atoms, fractional coordinates:
U 0.0000 0.5862 0.0000 x3
Sb 0.0000 0.2574 0.5000 x3
Ru 0.0000 0.0000 0.0000 x1
Ru 0.3333 0.6667 0.5000 x2